(1)
Starting from a cell relaxed with GGA-PBE, the XRD peak list of BaAu11 was simulated for CuKα.
Neutral-atom scattering factors, no anomalous dispersion.

The 10 most intense peaks (2θ from 10° to 90°), in order of falling intensity:
2θ 41.03, d = 2.200 Å, I 100
2θ 34.18, d = 2.623 Å, I 61
2θ 34.92, d = 2.570 Å, I 56
2θ 42.50, d = 2.127 Å, I 40
2θ 39.75, d = 2.268 Å, I 39
2θ 36.40, d = 2.468 Å, I 27
2θ 62.15, d = 1.494 Å, I 25
2θ 39.35, d = 2.290 Å, I 21
2θ 30.42, d = 2.938 Å, I 20
2θ 15.42, d = 5.746 Å, I 17

Structural model:
Cell lengths 8.9665, 8.9665, 8.9665 Å; angles 100.30, 100.30, 129.98 degrees
Positions (direct):
Ba 0.3750 0.6250 0.7500
Ba 0.6250 0.3750 0.2500
Au 0.0000 0.0000 0.0000
Au 0.0000 0.0000 0.5000
Au 0.0000 0.5000 0.0000
Au 0.1250 0.8750 0.2500
Au 0.1382 0.5591 0.3382
Au 0.1382 0.8000 0.5791
Au 0.2000 0.2791 0.3382
Au 0.2000 0.8618 0.9209
Au 0.2791 0.2000 0.8382
Au 0.2791 0.4409 0.0791
Au 0.4409 0.2791 0.5791
Au 0.4409 0.8618 0.1618
Au 0.5000 0.0000 0.5000
Au 0.5591 0.1382 0.8382
Au 0.5591 0.7209 0.4209
Au 0.7209 0.5591 0.9209
Au 0.7209 0.8000 0.1618
Au 0.8000 0.1382 0.0791
Au 0.8000 0.7209 0.6618
Au 0.8618 0.2000 0.4209
Au 0.8618 0.4409 0.6618
Au 0.8750 0.1250 0.7500

***

(2)
Starting from a cell relaxed with GGA-PBE, the XRD peak list of Ba2Au was simulated for CuKα.
Neutral-atom scattering factors, no anomalous dispersion.

The 10 most intense peaks (2θ from 10° to 90°), in order of falling intensity:
2θ 26.42, d = 3.373 Å, I 100
2θ 37.71, d = 2.385 Å, I 78
2θ 11.36, d = 7.791 Å, I 55
2θ 46.63, d = 1.948 Å, I 28
2θ 68.08, d = 1.377 Å, I 26
2θ 21.85, d = 4.068 Å, I 26
2θ 61.43, d = 1.509 Å, I 24
2θ 34.54, d = 2.597 Å, I 18
2θ 39.51, d = 2.281 Å, I 17
2θ 86.55, d = 1.125 Å, I 16

Structural model:
Cell lengths 9.5386, 9.5386, 9.5386 Å; angles 119.94, 119.94, 90.11 degrees
Positions (direct):
Ba 0.2253 0.4879 0.7374
Ba 0.2369 0.0000 0.2369
Ba 0.2379 0.0005 0.7626
Ba 0.2379 0.4753 0.2374
Ba 0.7500 0.0131 0.2631
Ba 0.7500 0.4869 0.7369
Ba 0.7505 0.4879 0.2626
Ba 0.7631 0.0000 0.7631
Au 0.4936 0.2440 0.2497
Au 0.9940 0.2443 0.2503
Au 0.9943 0.2440 0.7503
Au 0.9940 0.7436 0.7497

***

(3)
Starting from a cell relaxed with GGA-PBE, the XRD peak list of Ba5Au3 was simulated for CuKα.
Neutral-atom scattering factors, no anomalous dispersion.

The 10 most intense peaks (2θ from 10° to 90°), in order of falling intensity:
2θ 33.54, d = 2.672 Å, I 100
2θ 28.97, d = 3.083 Å, I 83
2θ 30.05, d = 2.974 Å, I 51
2θ 26.13, d = 3.410 Å, I 48
2θ 32.18, d = 2.782 Å, I 39
2θ 30.15, d = 2.964 Å, I 39
2θ 29.21, d = 3.057 Å, I 38
2θ 18.26, d = 4.859 Å, I 35
2θ 27.28, d = 3.270 Å, I 31
2θ 38.13, d = 2.360 Å, I 22

Structural model:
Cell lengths 10.2321, 10.2321, 8.9639 Å; angles 94.96, 94.96, 134.99 degrees
Positions (direct):
Ba 0.0099 0.6197 0.8016
Ba 0.1625 0.3779 0.6189
Ba 0.2565 0.2565 0.0269
Ba 0.3779 0.1625 0.6189
Ba 0.3803 0.9901 0.1984
Ba 0.6197 0.0099 0.8016
Ba 0.6221 0.8375 0.3811
Ba 0.7435 0.7435 0.9731
Ba 0.8375 0.6221 0.3811
Ba 0.9901 0.3803 0.1984
Au 0.0551 0.0551 0.3113
Au 0.2524 0.7476 0.5000
Au 0.3482 0.6518 0.0000
Au 0.6518 0.3482 0.0000
Au 0.7476 0.2524 0.5000
Au 0.9449 0.9449 0.6887